Diffraction record for PaVCr2O6. The powder X-ray diffraction pattern is computed, not measured: it uses the GGA+U geometry in Alexandria and Cu Kα (λ = 1.5418 Å).
No peak broadening, texture or thermal motion is included.

Top 12 peaks for 10 to 90 degrees two-theta, by intensity:
index  2θ/deg  I/Imax
1 0 0  19.80  100
1 1 1  22.93  89
1 0 1  30.71  62
1 1 -1  30.98  59
-1 1 1  32.59  56
0 1 2  31.56  53
1 2 1  32.81  52
0 0 1  18.28  50
1 1 0  20.01  49
2 1 0  33.72  49
0 1 0  21.71  45
2 0 -2  46.86  43

Crystal structure
Cell lengths 5.316, 5.467, 5.689 Å; angles 62.69, 89.88, 61.35 degrees
Atoms (fractional coordinates):
Pa 0.000 0.000 0.000
V 0.512 0.982 0.527
Cr 0.207 0.587 0.611
Cr 0.718 0.561 0.142
O 0.120 0.049 0.336
O 0.293 0.133 0.799
O 0.407 0.489 0.328
O 0.581 0.492 0.828
O 0.820 0.767 0.327
O 0.927 0.748 0.828